LiMg6Nb: theoretical X-ray diffraction stick pattern (λ = 1.5418 Å (Cu Kα)), based on a crystal structure in Alexandria, relaxed with GGA-PBE.
Neutral-atom scattering factors, no anomalous dispersion.

The 10 most intense peaks (5° ≤ 2θ ≤ 70°), by angle:
2θ/deg, intensity
14.5, 65.8
24.7, 29.3
32.7, 14.1
35.5, 100.0
38.5, 22.5
40.4, 17.4
41.7, 31.5
43.2, 8.1
59.5, 21.2
60.4, 10.0

```
LiMg6Nb
1.0
8.6641 0.0000 0.0000
0.0000 8.6723 0.0000
0.0000 0.0000 4.4611
Li Mg Nb
2 12 2
direct
0.0000 0.0000 0.0000
0.5000 0.5000 0.0000
0.0000 0.2585 0.5000
0.0000 0.7415 0.5000
0.2419 0.5000 0.5000
0.2500 0.2500 0.0000
0.2500 0.7500 0.0000
0.2581 0.0000 0.5000
0.5000 0.2415 0.5000
0.5000 0.7585 0.5000
0.7419 0.0000 0.5000
0.7500 0.2500 0.0000
0.7500 0.7500 0.0000
0.7581 0.5000 0.5000
0.0000 0.5000 0.0000
0.5000 0.0000 0.0000
```

LiMgNbRu: theoretical X-ray diffraction stick pattern (λ = 1.5418 Å (Cu Kα)), based on a crystal structure in Alexandria, relaxed with GGA-PBE.
Neutral-atom scattering factors, no anomalous dispersion.

The 5 most intense peaks (5° ≤ 2θ ≤ 70°), by angle:
2θ/deg, intensity
24.5, 71.1
40.5, 100.0
47.9, 33.6
58.6, 16.4
64.4, 13.5

```
LiMgNbRu
1.0
6.3027 0.0000 0.0000
0.0000 6.3027 0.0000
0.0000 0.0000 6.3027
Li Mg Nb Ru
4 4 4 4
direct
0.0000 0.0000 0.0000
0.0000 0.5000 0.5000
0.5000 0.0000 0.5000
0.5000 0.5000 0.0000
0.2500 0.2500 0.7500
0.2500 0.7500 0.2500
0.7500 0.2500 0.2500
0.7500 0.7500 0.7500
0.2500 0.2500 0.2500
0.2500 0.7500 0.7500
0.7500 0.2500 0.7500
0.7500 0.7500 0.2500
0.0000 0.0000 0.5000
0.0000 0.5000 0.0000
0.5000 0.0000 0.0000
0.5000 0.5000 0.5000
```

LiMgNbTc: theoretical X-ray diffraction stick pattern (λ = 1.5418 Å (Cu Kα)), based on a crystal structure in Alexandria, relaxed with GGA-PBE.
Neutral-atom scattering factors, no anomalous dispersion.

The 10 most intense peaks (5° ≤ 2θ ≤ 70°), by angle:
2θ/deg, intensity
15.4, 100.0
25.7, 32.0
37.5, 57.2
39.2, 26.7
40.6, 46.0
41.5, 22.7
44.6, 13.3
47.5, 14.1
54.4, 14.5
58.4, 16.1

```
LiMgNbTc
1.0
2.7095 0.0000 0.0000
0.0000 4.3481 0.0000
-0.8903 0.0000 5.7558
Li Mg Nb Tc
1 1 1 1
direct
0.0000 0.0000 0.0000
0.7769 0.5000 0.2433
0.2672 0.5000 0.7238
0.4867 0.0000 0.5165
```

Li5Nd2Mg12: theoretical X-ray diffraction stick pattern (λ = 1.5418 Å (Cu Kα)), based on a crystal structure in Alexandria, relaxed with GGA-PBE.
Neutral-atom scattering factors, no anomalous dispersion.

The 10 most intense peaks (5° ≤ 2θ ≤ 70°), by angle:
2θ/deg, intensity
11.7, 76.9
17.5, 35.2
17.8, 30.1
25.0, 75.4
27.5, 35.6
30.5, 48.9
31.4, 39.6
35.4, 36.6
35.5, 100.0
51.0, 25.2

```
Li5Nd2Mg12
1.0
5.0771 2.9312 4.9921
-5.0771 2.9312 4.9921
0.0000 -5.8625 4.9921
Li Nd Mg
5 2 12
direct
0.0000 0.0000 0.5000
0.0000 0.5000 0.0000
0.0978 0.0978 0.0978
0.5000 0.0000 0.0000
0.9022 0.9022 0.9022
0.3454 0.3454 0.3454
0.6546 0.6546 0.6546
0.0000 0.3016 0.6984
0.0000 0.6984 0.3016
0.1467 0.6556 0.6556
0.3016 0.0000 0.6984
0.3016 0.6984 0.0000
0.3444 0.3444 0.8533
0.3444 0.8533 0.3444
0.6556 0.1467 0.6556
0.6556 0.6556 0.1467
0.6984 0.0000 0.3016
0.6984 0.3016 0.0000
0.8533 0.3444 0.3444
```

Li2NdMg2: theoretical X-ray diffraction stick pattern (λ = 1.5418 Å (Cu Kα)), based on a crystal structure in Alexandria, relaxed with GGA-PBE.
Neutral-atom scattering factors, no anomalous dispersion.

The 10 most intense peaks (5° ≤ 2θ ≤ 70°), by angle:
2θ/deg, intensity
9.1, 100.0
18.2, 11.0
25.7, 18.7
28.8, 34.3
28.9, 11.4
34.3, 28.1
36.1, 18.3
37.3, 15.0
52.6, 10.4
60.4, 10.8

```
Li2NdMg2
1.0
19.7740 0.0000 0.0000
0.0000 3.5301 0.0000
-0.6199 0.0000 3.4611
Li Nd Mg
4 2 4
direct
0.2074 0.0000 0.2068
0.2926 0.5000 0.7932
0.7074 0.5000 0.2068
0.7926 0.0000 0.7932
0.0000 0.0000 0.0000
0.5000 0.5000 0.0000
0.1213 0.5000 0.6208
0.3787 0.0000 0.3792
0.6213 0.0000 0.6208
0.8787 0.5000 0.3792
```